No. 1
Dy12Mg2Al5: theoretical XRD peak list (a wavelength of 1.5418 Å), based on DFT lattice parameters and positions (GGA-PBE).
Lines closer than 0.1° are merged.

Structural model:
```
data_Dy12Mg2Al5
_chemical_formula_sum 'Dy24 Mg4 Al10'
_cell_length_a 12.3896
_cell_length_b 10.6072
_cell_length_c 8.2182
_cell_angle_alpha 90.00
_cell_angle_beta 106.97
_cell_angle_gamma 90.00
_space_group_name_H-M_alt 'C 1 2/m 1'
_space_group_IT_number 12
_space_group_name_Hall '-C 2y'
loop_
_atom_site_label
_atom_site_type_symbol
_atom_site_fract_x
_atom_site_fract_y
_atom_site_fract_z
Dy1 Dy 0.0994 0.0000 0.1751
Dy2 Dy 0.1095 0.2701 0.4077
Dy3 Dy 0.1131 0.5000 0.7395
Dy4 Dy 0.1750 0.1570 0.8234
Mg1 Mg 0.0000 0.2835 0.0000
Al1 Al 0.0000 0.0000 0.5000
Al2 Al 0.1100 0.5000 0.1528
Al3 Al 0.2325 0.0000 0.5399
```

Most intense lines, 10° ≤ 2θ ≤ 90°, in order of rising 2θ:
- 2θ = 27.79°, d = 3.210 Å, I 54.3
- 2θ = 28.26°, d = 3.158 Å, I 45.0
- 2θ = 28.75°, d = 3.105 Å, I 50.3
- 2θ = 28.94°, d = 3.085 Å, I 47.5
- 2θ = 29.35°, d = 3.043 Å, I 51.2
- 2θ = 29.57°, d = 3.021 Å, I 99.7
- 2θ = 30.17°, d = 2.963 Å, I 64.4
- 2θ = 33.10°, d = 2.706 Å, I 55.7
- 2θ = 33.45°, d = 2.679 Å, I 42.5
- 2θ = 33.61°, d = 2.667 Å, I 52.5
- 2θ = 33.74°, d = 2.656 Å, I 72.7
- 2θ = 35.20°, d = 2.550 Å, I 100.0



No. 2
Dy3MgAl3: theoretical XRD peak list (a wavelength of 1.5418 Å), based on DFT lattice parameters and positions (GGA-PBE).
Lines closer than 0.1° are merged.

Structural model:
```
data_Dy3MgAl3
_chemical_formula_sum 'Dy12 Mg4 Al12'
_cell_length_a 9.9348
_cell_length_b 9.8843
_cell_length_c 7.1275
_cell_angle_alpha 90.00
_cell_angle_beta 92.38
_cell_angle_gamma 90.00
_space_group_name_H-M_alt 'C 1 2/m 1'
_space_group_IT_number 12
_space_group_name_Hall '-C 2y'
loop_
_atom_site_label
_atom_site_type_symbol
_atom_site_fract_x
_atom_site_fract_y
_atom_site_fract_z
Dy1 Dy 0.0459 0.0000 0.2633
Dy2 Dy 0.2460 0.2104 0.7536
Mg1 Mg 0.1262 0.5000 0.8983
Al1 Al 0.0000 0.2487 0.0000
Al2 Al 0.0000 0.2861 0.5000
Al3 Al 0.1818 0.5000 0.5207
```

Most intense lines, 10° ≤ 2θ ≤ 90°, in order of rising 2θ:
- 2θ = 12.64°, d = 7.004 Å, I 57.9
- 2θ = 17.90°, d = 4.955 Å, I 35.3
- 2θ = 25.01°, d = 3.561 Å, I 66.2
- 2θ = 25.43°, d = 3.502 Å, I 100.0
- 2θ = 28.47°, d = 3.135 Å, I 43.4
- 2θ = 31.09°, d = 2.877 Å, I 30.0
- 2θ = 31.39°, d = 2.849 Å, I 48.0
- 2θ = 31.58°, d = 2.833 Å, I 40.7
- 2θ = 35.42°, d = 2.534 Å, I 95.4
- 2θ = 36.36°, d = 2.471 Å, I 31.1
- 2θ = 36.51°, d = 2.461 Å, I 66.6
- 2θ = 56.00°, d = 1.642 Å, I 31.1



What did the second record say?
Dy3MgAl3: theoretical XRD peak list (a wavelength of 1.5418 Å), based on DFT lattice parameters and positions (GGA-PBE).
Lines closer than 0.1° are merged.

Structural model:
```
data_Dy3MgAl3
_chemical_formula_sum 'Dy12 Mg4 Al12'
_cell_length_a 9.9348
_cell_length_b 9.8843
_cell_length_c 7.1275
_cell_angle_alpha 90.00
_cell_angle_beta 92.38
_cell_angle_gamma 90.00
_space_group_name_H-M_alt 'C 1 2/m 1'
_space_group_IT_number 12
_space_group_name_Hall '-C 2y'
loop_
_atom_site_label
_atom_site_type_symbol
_atom_site_fract_x
_atom_site_fract_y
_atom_site_fract_z
Dy1 Dy 0.0459 0.0000 0.2633
Dy2 Dy 0.2460 0.2104 0.7536
Mg1 Mg 0.1262 0.5000 0.8983
Al1 Al 0.0000 0.2487 0.0000
Al2 Al 0.0000 0.2861 0.5000
Al3 Al 0.1818 0.5000 0.5207
```

Most intense lines, 10° ≤ 2θ ≤ 90°, in order of rising 2θ:
- 2θ = 12.64°, d = 7.004 Å, I 57.9
- 2θ = 17.90°, d = 4.955 Å, I 35.3
- 2θ = 25.01°, d = 3.561 Å, I 66.2
- 2θ = 25.43°, d = 3.502 Å, I 100.0
- 2θ = 28.47°, d = 3.135 Å, I 43.4
- 2θ = 31.09°, d = 2.877 Å, I 30.0
- 2θ = 31.39°, d = 2.849 Å, I 48.0
- 2θ = 31.58°, d = 2.833 Å, I 40.7
- 2θ = 35.42°, d = 2.534 Å, I 95.4
- 2θ = 36.36°, d = 2.471 Å, I 31.1
- 2θ = 36.51°, d = 2.461 Å, I 66.6
- 2θ = 56.00°, d = 1.642 Å, I 31.1